For Pa2VPt6, a cell relaxed with GGA-PBE gives the simulated powder diffractogram in this record (a wavelength of 1.5418 Å).
No peak broadening, texture or thermal motion is included.

Principal peaks in the range 15° ≤ 2θ ≤ 90°, in order of rising 2θ:
- (0 0 2), 29.44 deg, d = 3.034 Å, rel. 21
- (1 0 2), 34.84 deg, d = 2.575 Å, rel. 34
- (1 1 1), 35.19 deg, d = 2.550 Å, rel. 19
- (2 0 0), 36.93 deg, d = 2.434 Å, rel. 22
- (2 0 1), 39.90 deg, d = 2.259 Å, rel. 100
- (2 2 0), 66.53 deg, d = 1.405 Å, rel. 20

```
data_Pa2VPt6
_cell_length_a 5.6216
_cell_length_b 5.6216
_cell_length_c 6.0681
_cell_angle_alpha 90.00
_cell_angle_beta 90.00
_cell_angle_gamma 120.00
_space_group_name_H-M_alt 'P -3 m 1'
_space_group_IT_number 164
_space_group_name_Hall '-P 3 2"'
loop_
_atom_site_label
_atom_site_type_symbol
_atom_site_fract_x
_atom_site_fract_y
_atom_site_fract_z
Pa1 Pa 0.3333 0.6667 0.1488
V1 V 0.0000 0.0000 0.0000
Pt1 Pt 0.1704 0.3409 0.6914
```